[1]
Structure and computed X-ray diffraction stick pattern of TcBrF (a DFT-relaxed cell (PBE, Alexandria); Cu Kα (weighted mean of Kα1 and Kα2)).
Neutral-atom scattering factors, no anomalous dispersion.

Atomic structure:
a b c (Å): 4.493 4.997 9.331
angles (deg): 90.00 90.00 90.00
Space group Imma (No. 74)
Asymmetric unit:
1 Tc 0.000 0.250 0.189 [4 per cell]
2 Br 0.000 0.250 0.887 [4 per cell]
3 F 0.000 0.250 0.406 [4 per cell]

Most intense lines, 2θ = 15–90°, by angle:
2θ = 20.16°, intensity 48, hkl 0 1 1
2θ = 21.96°, intensity 100, hkl 1 0 1
2θ = 33.95°, intensity 39, hkl 0 1 3
2θ = 35.09°, intensity 75, hkl 1 0 3
2θ = 35.94°, intensity 83, hkl 0 2 0
2θ = 40.14°, intensity 60, hkl 2 0 0
2θ = 42.52°, intensity 35, hkl 1 2 1
2θ = 47.54°, intensity 68, hkl 1 1 4
2θ = 51.11°, intensity 51, hkl 1 2 3
2θ = 54.96°, intensity 46, hkl 2 2 0



[2]
Structure and computed X-ray diffraction stick pattern of NdAgH6Pd4 (a DFT-relaxed cell (PBE, Alexandria); Cu Kα (weighted mean of Kα1 and Kα2)).
Neutral-atom scattering factors, no anomalous dispersion.

Atomic structure:
a b c (Å): 4.8083 4.8083 6.7419
angles (deg): 90.00 90.00 120.00
Space group P6/mmm (No. 191)
Asymmetric unit:
1 Nd 0.0000 0.0000 0.0000 [1 per cell]
2 Ag 0.0000 0.0000 0.5000 [1 per cell]
3 H 0.0000 0.5000 0.1457 [6 per cell]
4 Pd 0.3333 0.6667 0.2999 [4 per cell]

Most intense lines, 2θ = 15–90°, by angle:
2θ = 25.14°, intensity 11, hkl 1 0 1
2θ = 34.22°, intensity 100, hkl 1 0 2
2θ = 37.41°, intensity 99, hkl 1 1 0
2θ = 51.60°, intensity 30, hkl 2 0 2
2θ = 56.01°, intensity 19, hkl 1 1 3
2θ = 65.45°, intensity 29, hkl 2 1 2
2θ = 67.48°, intensity 17, hkl 3 0 0
2θ = 67.92°, intensity 11, hkl 1 1 4
2θ = 79.78°, intensity 11, hkl 2 2 0
2θ = 89.76°, intensity 13, hkl 3 1 2



[3]
Structure and computed X-ray diffraction stick pattern of Ag7Pt5 (a DFT-relaxed cell (PBE, Alexandria); Cu Kα (weighted mean of Kα1 and Kα2)).
Neutral-atom scattering factors, no anomalous dispersion.

Atomic structure:
a b c (Å): 4.985 8.687 9.455
angles (deg): 90.00 100.22 90.00
Space group C2 (No. 5)
Asymmetric unit:
1 Ag 0.000 0.000 0.000 [2 per cell]
2 Ag 0.000 0.166 0.500 [2 per cell]
3 Ag 0.000 0.502 0.500 [2 per cell]
4 Ag 0.242 0.339 0.750 [4 per cell]
5 Ag 0.243 0.004 0.751 [4 per cell]
6 Pt 0.000 0.326 0.000 [2 per cell]
7 Pt 0.000 0.666 0.000 [2 per cell]
8 Pt 0.000 0.828 0.500 [2 per cell]
9 Pt 0.237 0.678 0.752 [4 per cell]

Most intense lines, 2θ = 15–90°, by angle:
2θ = 38.20°, intensity 100, hkl 1 3 1
2θ = 38.33°, intensity 52, hkl 2 0 -2
2θ = 38.71°, intensity 49, hkl 0 0 4
2θ = 44.52°, intensity 64, hkl 1 3 -3
2θ = 44.72°, intensity 32, hkl 2 0 2
2θ = 64.68°, intensity 20, hkl 3 3 -1
2θ = 65.21°, intensity 31, hkl 1 3 5
2θ = 77.69°, intensity 12, hkl 0 6 4
2θ = 77.92°, intensity 18, hkl 4 0 0
2θ = 78.06°, intensity 12, hkl 3 3 3



[4]
Structure and computed X-ray diffraction stick pattern of Ac2ZnTe2O2 (a DFT-relaxed cell (PBE, Alexandria); Cu Kα (weighted mean of Kα1 and Kα2)).
Neutral-atom scattering factors, no anomalous dispersion.

Atomic structure:
a b c (Å): 4.330 4.330 17.309
angles (deg): 90.00 90.00 90.00
Space group I4/mmm (No. 139)
Asymmetric unit:
1 Ac 0.000 0.000 0.102 [4 per cell]
2 Zn 0.000 0.000 0.500 [2 per cell]
3 Te 0.000 0.000 0.323 [4 per cell]
4 O 0.000 0.500 0.000 [4 per cell]

Most intense lines, 2θ = 15–90°, by angle:
2θ = 20.52°, intensity 18, hkl 0 0 4
2θ = 21.15°, intensity 17, hkl 1 0 1
2θ = 29.17°, intensity 75, hkl 1 1 0
2θ = 33.13°, intensity 100, hkl 1 0 5
2θ = 35.93°, intensity 26, hkl 1 1 4
2θ = 41.72°, intensity 34, hkl 2 0 0
2θ = 52.03°, intensity 16, hkl 1 0 9
2θ = 54.28°, intensity 50, hkl 2 1 5
2θ = 68.80°, intensity 14, hkl 2 1 9
2θ = 85.61°, intensity 14, hkl 3 2 5



[5]
Structure and computed X-ray diffraction stick pattern of PmNd4Y15 (a DFT-relaxed cell (PBE, Alexandria); Cu Kα (weighted mean of Kα1 and Kα2)).
Neutral-atom scattering factors, no anomalous dispersion.

Atomic structure:
a b c (Å): 5.093 5.093 25.355
angles (deg): 90.00 90.00 90.00
Space group P4/mmm (No. 123)
Asymmetric unit:
1 Pm 0.000 0.000 0.000 [1 per cell]
2 Nd 0.000 0.000 0.200 [2 per cell]
3 Nd 0.000 0.000 0.400 [2 per cell]
4 Y 0.000 0.500 0.100 [4 per cell]
5 Y 0.000 0.500 0.300 [4 per cell]
6 Y 0.000 0.500 0.500 [2 per cell]
7 Y 0.500 0.500 0.000 [1 per cell]
8 Y 0.500 0.500 0.200 [2 per cell]
9 Y 0.500 0.500 0.400 [2 per cell]

Most intense lines, 2θ = 15–90°, by angle:
2θ = 30.44°, intensity 100, hkl 1 1 5
2θ = 35.24°, intensity 34, hkl 2 0 0
2θ = 35.40°, intensity 17, hkl 0 0 10
2θ = 50.70°, intensity 12, hkl 2 2 0
2θ = 50.81°, intensity 23, hkl 2 0 10
2θ = 60.29°, intensity 28, hkl 3 1 5
2θ = 60.50°, intensity 14, hkl 1 1 15
2θ = 63.35°, intensity 12, hkl 2 2 10
2θ = 82.77°, intensity 11, hkl 3 1 15
2θ = 85.25°, intensity 10, hkl 4 2 0



[6]
Structure and computed X-ray diffraction stick pattern of Li6La2Tl9 (a DFT-relaxed cell (PBE, Alexandria); Cu Kα (weighted mean of Kα1 and Kα2)).
Neutral-atom scattering factors, no anomalous dispersion.

Atomic structure:
a b c (Å): 6.3756 6.3756 13.1022
angles (deg): 90.00 90.00 120.00
Space group P6/mmm (No. 191)
Asymmetric unit:
1 Li 0.3333 0.6667 0.0000 [2 per cell]
2 Li 0.3333 0.6667 0.3383 [4 per cell]
3 La 0.0000 0.0000 0.3401 [2 per cell]
4 Tl 0.0000 0.5000 0.1748 [6 per cell]
5 Tl 0.0000 0.5000 0.5000 [3 per cell]

Most intense lines, 2θ = 15–90°, by angle:
2θ = 20.33°, intensity 54, hkl 0 0 3
2θ = 26.01°, intensity 60, hkl 1 0 3
2θ = 32.43°, intensity 100, hkl 2 0 0
2θ = 34.84°, intensity 32, hkl 1 1 3
2θ = 38.58°, intensity 70, hkl 2 0 3
2θ = 41.35°, intensity 17, hkl 0 0 6
2θ = 48.34°, intensity 23, hkl 2 1 3
2θ = 53.50°, intensity 47, hkl 2 0 6
2θ = 57.85°, intensity 21, hkl 2 2 0
2θ = 73.56°, intensity 29, hkl 2 2 6



[7]
Structure and computed X-ray diffraction stick pattern of TbTmCoIr (a DFT-relaxed cell (PBE, Alexandria); Cu Kα (weighted mean of Kα1 and Kα2)).
Neutral-atom scattering factors, no anomalous dispersion.

Atomic structure:
a b c (Å): 6.754 6.754 6.754
angles (deg): 90.00 90.00 90.00
Space group F-43m (No. 216)
Asymmetric unit:
1 Tb 0.000 0.000 0.000 [4 per cell]
2 Tm 0.000 0.000 0.500 [4 per cell]
3 Co 0.250 0.250 0.750 [4 per cell]
4 Ir 0.250 0.250 0.250 [4 per cell]

Most intense lines, 2θ = 15–90°, by angle:
2θ = 22.81°, intensity 11, hkl 1 1 1
2θ = 26.39°, intensity 2, hkl 2 0 0
2θ = 37.67°, intensity 100, hkl 2 2 0
2θ = 44.49°, intensity 6, hkl 3 1 1
2θ = 54.33°, intensity 17, hkl 4 0 0
2θ = 59.68°, intensity 3, hkl 3 3 1
2θ = 68.00°, intensity 35, hkl 4 2 2
2θ = 72.76°, intensity 2, hkl 5 1 1
2θ = 80.44°, intensity 11, hkl 4 4 0
2θ = 84.95°, intensity 2, hkl 5 3 1



[8]
Structure and computed X-ray diffraction stick pattern of Sr3Ga4O9 (a DFT-relaxed cell (PBE, Alexandria); Cu Kα (weighted mean of Kα1 and Kα2)).
Neutral-atom scattering factors, no anomalous dispersion.

Atomic structure:
a b c (Å): 6.825 8.130 9.845
angles (deg): 84.93 72.42 74.59
Space group P-1 (No. 2)
Asymmetric unit:
1 Sr 0.059 0.052 0.189 [2 per cell]
2 Sr 0.187 0.565 0.176 [2 per cell]
3 Sr 0.314 0.212 0.457 [2 per cell]
4 Ga 0.254 0.746 0.445 [2 per cell]
5 Ga 0.335 0.551 0.736 [2 per cell]
6 Ga 0.390 0.171 0.801 [2 per cell]
7 Ga 0.440 0.806 0.919 [2 per cell]
8 O 0.020 0.816 0.380 [2 per cell]
9 O 0.202 0.374 0.769 [2 per cell]
10 O 0.215 0.740 0.640 [2 per cell]
11 O 0.242 0.015 0.898 [2 per cell]
12 O 0.291 0.241 0.202 [2 per cell]
13 O 0.303 0.635 0.914 [2 per cell]
14 O 0.377 0.520 0.370 [2 per cell]
15 O 0.407 0.802 0.116 [2 per cell]
16 O 0.441 0.893 0.386 [2 per cell]

Most intense lines, 2θ = 15–90°, by angle:
2θ = 26.98°, intensity 40, hkl 1 2 -1
2θ = 27.75°, intensity 46, hkl 2 1 0
2θ = 28.55°, intensity 100, hkl 0 0 3
2θ = 29.22°, intensity 46, hkl 2 0 2
2θ = 29.57°, intensity 69, hkl 0 2 2
2θ = 29.73°, intensity 73, hkl 1 -2 0
2θ = 30.50°, intensity 84, hkl 2 2 1
2θ = 32.52°, intensity 60, hkl 2 0 -1
2θ = 33.67°, intensity 48, hkl 1 3 0
2θ = 38.74°, intensity 43, hkl 1 -2 3



[9]
Structure and computed X-ray diffraction stick pattern of OsRhBr2 (a DFT-relaxed cell (PBE, Alexandria); Cu Kα (weighted mean of Kα1 and Kα2)).
Neutral-atom scattering factors, no anomalous dispersion.

Atomic structure:
a b c (Å): 2.987 3.509 8.263
angles (deg): 90.00 90.73 90.00
Space group Pm (No. 6)
Asymmetric unit:
1 Os 0.000 0.000 0.000 [1 per cell]
2 Rh 0.494 0.500 0.839 [1 per cell]
3 Br 0.008 0.500 0.209 [1 per cell]
4 Br 0.486 0.000 0.617 [1 per cell]

Most intense lines, 2θ = 15–90°, by angle:
2θ = 31.73°, intensity 47, hkl 1 0 -1
2θ = 31.99°, intensity 47, hkl 1 0 1
2θ = 33.51°, intensity 100, hkl 0 1 2
2θ = 41.06°, intensity 43, hkl 1 1 -1
2θ = 41.27°, intensity 47, hkl 1 1 1
2θ = 41.69°, intensity 74, hkl 0 1 3
2θ = 45.33°, intensity 35, hkl 1 1 -2
2θ = 45.72°, intensity 30, hkl 1 1 2
2θ = 52.13°, intensity 25, hkl 0 2 0
2θ = 78.07°, intensity 23, hkl 1 2 -4



[10]
Structure and computed X-ray diffraction stick pattern of Li3SmHg2 (a DFT-relaxed cell (PBE, Alexandria); Cu Kα (weighted mean of Kα1 and Kα2)).
Neutral-atom scattering factors, no anomalous dispersion.

Atomic structure:
a b c (Å): 14.962 4.223 9.597
angles (deg): 90.00 123.20 90.00
Space group C2/m (No. 12)
Asymmetric unit:
1 Li 0.064 0.000 0.412 [4 per cell]
2 Li 0.075 0.500 0.682 [4 per cell]
3 Li 0.239 0.500 0.584 [4 per cell]
4 Sm 0.124 0.000 0.999 [4 per cell]
5 Hg 0.077 0.500 0.222 [4 per cell]
6 Hg 0.204 0.000 0.753 [4 per cell]

Most intense lines, 2θ = 15–90°, by angle:
2θ = 22.14°, intensity 21, hkl 0 0 2
2θ = 23.03°, intensity 28, hkl 1 1 -1
2θ = 26.57°, intensity 62, hkl 1 1 1
2θ = 29.76°, intensity 39, hkl 4 0 -3
2θ = 30.11°, intensity 28, hkl 3 1 0
2θ = 34.30°, intensity 19, hkl 1 1 2
2θ = 36.06°, intensity 35, hkl 4 0 1
2θ = 36.95°, intensity 100, hkl 5 1 -2
2θ = 42.83°, intensity 22, hkl 0 2 0
2θ = 57.22°, intensity 28, hkl 4 2 1